[1]
The following is a simulated X-ray powder pattern of InIr10. It was derived from a PBE-relaxed structure, using Cu Kα (λ = 1.5418 Å).
No peak broadening, texture or thermal motion is included.

Structure:
```
22
Lattice="4.313 -1.933 0.000 4.313 1.933 0.000 -0.016 0.000 32.608" Properties=species:S:1:pos:R:3 pbc="T T T"
In 1.269 0.000 6.956
In 7.340 0.000 25.653
Ir 0.414 0.000 21.942
Ir 0.431 0.000 13.273
Ir 1.284 0.000 15.870
Ir 1.293 0.000 24.511
Ir 2.147 0.000 18.470
Ir 2.167 0.000 9.778
Ir 2.991 0.000 21.079
Ir 3.029 0.000 12.399
Ir 3.872 0.000 14.998
Ir 3.890 0.000 23.643
Ir 4.719 0.000 8.965
Ir 4.737 0.000 17.610
Ir 5.580 0.000 20.209
Ir 5.618 0.000 11.530
Ir 6.442 0.000 22.830
Ir 6.461 0.000 14.138
Ir 7.316 0.000 8.097
Ir 7.325 0.000 16.739
Ir 8.178 0.000 19.335
Ir 8.195 0.000 10.667
```

Top 10 peaks for 2θ = 15–90°, in order of rising 2θ:
2θ = 39.72°, I = 100
2θ = 39.95°, I = 56
2θ = 40.64°, I = 95
2θ = 41.97°, I = 49
2θ = 46.41°, I = 26
2θ = 46.79°, I = 33
2θ = 47.05°, I = 54
2θ = 47.73°, I = 26
2θ = 68.23°, I = 25
2θ = 69.26°, I = 24

***

[2]
The following is a simulated X-ray powder pattern of Cs2Nb3Cl7O5. It was derived from a PBE-relaxed structure, using Cu Kα (λ = 1.5418 Å).
No peak broadening, texture or thermal motion is included.

Structure:
```
34
Lattice="8.621 -4.508 0.000 8.621 4.508 0.000 -3.750 0.000 10.555" Properties=species:S:1:pos:R:3 pbc="T T T"
Cs 2.162 0.397 3.742
Cs 0.287 -0.397 9.020
Cs 13.205 0.397 1.536
Cs 11.330 -0.397 6.813
Nb 8.480 2.592 0.272
Nb 6.887 2.592 5.006
Nb 5.809 0.326 7.916
Nb 7.684 -0.326 2.639
Nb 6.605 -2.592 5.550
Nb 5.012 -2.592 10.283
Cl 4.651 2.624 4.040
Cl 2.409 2.557 10.150
Cl 7.684 3.669 2.639
Cl 3.542 0.577 7.124
Cl 10.717 2.624 1.238
Cl 9.208 2.557 5.683
Cl 5.417 -0.577 1.846
Cl 8.075 0.577 8.709
Cl 4.284 -2.557 4.873
Cl 2.776 -2.624 9.317
Cl 9.950 -0.577 3.431
Cl 5.809 -3.669 7.916
Cl 11.083 -2.557 0.405
Cl 8.842 -2.624 6.516
O 0.000 0.000 0.000
O -1.875 0.000 5.278
O 5.327 1.924 9.250
O 6.290 1.924 6.583
O 8.146 0.921 1.316
O 7.222 0.921 3.962
O 6.270 -0.921 6.594
O 5.347 -0.921 9.239
O 7.202 -1.924 3.972
O 8.165 -1.924 1.305
```

Top 10 peaks for 2θ = 15–90°, in order of rising 2θ:
2θ = 19.12°, I = 21
2θ = 21.56°, I = 35
2θ = 21.73°, I = 35
2θ = 21.88°, I = 20
2θ = 22.56°, I = 19
2θ = 25.96°, I = 100
2θ = 31.96°, I = 32
2θ = 33.08°, I = 27
2θ = 37.59°, I = 20
2θ = 37.84°, I = 24

***

[3]
The following is a simulated X-ray powder pattern of Rb2PrInO4. It was derived from a PBE-relaxed structure, using Cu Kα (λ = 1.5418 Å).
No peak broadening, texture or thermal motion is included.

Structure:
```
8
Lattice="3.524 0.000 0.000 -1.762 3.052 0.000 0.000 0.000 12.816" Properties=species:S:1:pos:R:3 pbc="T T T"
Rb 0.000 2.035 3.330
Rb 1.762 1.017 9.486
Pr 0.000 0.000 0.000
In 0.000 0.000 6.408
O 0.000 2.035 7.489
O 0.000 2.035 11.552
O 1.762 1.017 1.264
O 1.762 1.017 5.328
```

Top 10 peaks for 2θ = 15–90°, in order of rising 2θ:
2θ = 27.84°, I = 33
2θ = 30.10°, I = 16
2θ = 32.49°, I = 100
2θ = 36.17°, I = 28
2θ = 40.83°, I = 20
2θ = 51.89°, I = 28
2θ = 52.27°, I = 32
2θ = 59.91°, I = 23
2θ = 62.57°, I = 15
2θ = 85.54°, I = 13

***

[4]
The following is a simulated X-ray powder pattern of SmTlHgSe3. It was derived from a PBE-relaxed structure, using Cu Kα (λ = 1.5418 Å).
No peak broadening, texture or thermal motion is included.

Structure:
```
24
Lattice="12.118 0.000 0.000 0.000 4.395 0.000 0.000 0.000 12.786" Properties=species:S:1:pos:R:3 pbc="T T T"
Sm 0.363 1.099 2.279
Sm 5.696 3.297 8.673
Sm 6.422 1.099 4.114
Sm 11.755 3.297 10.507
Tl 2.030 1.099 6.408
Tl 4.029 3.297 0.015
Tl 8.089 1.099 12.772
Tl 10.088 3.297 6.378
Hg 3.035 1.099 10.277
Hg 3.024 3.297 3.884
Hg 9.094 1.099 8.902
Hg 9.083 3.297 2.509
Se 0.383 3.297 4.306
Se 1.015 1.099 11.972
Se 2.782 3.297 8.632
Se 3.277 1.099 2.239
Se 5.044 3.297 5.579
Se 5.676 1.099 10.700
Se 6.442 3.297 2.087
Se 7.074 1.099 7.207
Se 8.841 3.297 10.548
Se 9.336 1.099 4.154
Se 11.103 3.297 0.814
Se 11.735 1.099 8.480
```

Top 10 peaks for 2θ = 15–90°, in order of rising 2θ:
2θ = 23.09°, I = 26
2θ = 25.03°, I = 23
2θ = 26.00°, I = 20
2θ = 28.72°, I = 25
2θ = 30.12°, I = 100
2θ = 32.73°, I = 45
2θ = 35.51°, I = 22
2θ = 41.07°, I = 35
2θ = 43.21°, I = 28
2θ = 56.33°, I = 23

***

[5]
The following is a simulated X-ray powder pattern of InNi21B20. It was derived from a PBE-relaxed structure, using Cu Kα (λ = 1.5418 Å).
No peak broadening, texture or thermal motion is included.

Structure:
```
42
Lattice="7.171 0.000 0.000 0.000 7.171 0.000 0.000 0.000 7.171" Properties=species:S:1:pos:R:3 pbc="T T T"
In 0.000 0.000 0.000
Ni 0.000 0.000 3.585
Ni 0.000 2.065 2.065
Ni 0.000 2.065 5.106
Ni 0.000 3.585 0.000
Ni 0.000 5.106 2.065
Ni 0.000 5.106 5.106
Ni 1.652 3.585 3.585
Ni 2.065 0.000 2.065
Ni 2.065 0.000 5.106
Ni 2.065 2.065 0.000
Ni 2.065 5.106 0.000
Ni 3.585 0.000 0.000
Ni 3.585 1.652 3.585
Ni 3.585 3.585 1.652
Ni 3.585 3.585 5.518
Ni 3.585 5.518 3.585
Ni 5.106 0.000 2.065
Ni 5.106 0.000 5.106
Ni 5.106 2.065 0.000
Ni 5.106 5.106 0.000
Ni 5.518 3.585 3.585
B 1.426 1.426 3.585
B 1.426 3.585 1.426
B 1.426 3.585 5.745
B 1.426 5.745 3.585
B 2.101 2.101 2.101
B 2.101 2.101 5.070
B 2.101 5.070 2.101
B 2.101 5.070 5.070
B 3.585 1.426 1.426
B 3.585 1.426 5.745
B 3.585 5.745 1.426
B 3.585 5.745 5.745
B 5.070 2.101 2.101
B 5.070 2.101 5.070
B 5.070 5.070 2.101
B 5.070 5.070 5.070
B 5.745 1.426 3.585
B 5.745 3.585 1.426
B 5.745 3.585 5.745
B 5.745 5.745 3.585
```

Top 10 peaks for 2θ = 15–90°, in order of rising 2θ:
2θ = 37.63°, I = 100
2θ = 39.75°, I = 12
2θ = 43.73°, I = 12
2θ = 50.94°, I = 31
2θ = 52.63°, I = 7
2θ = 54.28°, I = 20
2θ = 74.92°, I = 12
2θ = 76.28°, I = 21
2θ = 77.64°, I = 7
2θ = 87.01°, I = 9

***

[6]
The following is a simulated X-ray powder pattern of HfNbTc2. It was derived from a PBE-relaxed structure, using Cu Kα (λ = 1.5418 Å).
No peak broadening, texture or thermal motion is included.

Structure:
```
8
Lattice="6.439 0.000 0.000 0.000 6.439 0.000 0.000 0.000 3.223" Properties=species:S:1:pos:R:3 pbc="T T T"
Hf 1.610 4.829 0.000
Hf 4.829 1.610 0.000
Nb 1.610 1.610 0.009
Nb 4.829 4.829 3.214
Tc 0.000 0.000 1.611
Tc 0.000 3.220 1.611
Tc 3.220 0.000 1.611
Tc 3.220 3.220 1.611
```

Top 10 peaks for 2θ = 15–90°, in order of rising 2θ:
2θ = 19.50°, I = 5
2θ = 27.70°, I = 3
2θ = 34.08°, I = 3
2θ = 39.57°, I = 100
2θ = 44.49°, I = 1
2θ = 53.21°, I = 2
2θ = 57.21°, I = 17
2θ = 64.72°, I = 1
2θ = 71.79°, I = 34
2θ = 85.22°, I = 11